CsTa2P5O18: computed X-ray powder pattern (Cu Kα, 1.54184 Å), based on the GGA-PBE geometry in Alexandria.
Neutral-atom scattering factors, no anomalous dispersion.

Unit cell a=5.2239 b=11.1653 c=14.6431 alpha=83.08 beta=87.00 gamma=85.31
Element x y z (fractional)
Cs  0.2012  0.3969  0.1250
Cs  0.7988  0.6031  0.8750
Ta  0.2062  0.2090  0.4926
Ta  0.2455  0.9370  0.1475
Ta  0.7545  0.0630  0.8525
Ta  0.7938  0.7910  0.5074
P  0.1085  0.4139  0.6540
P  0.2133  0.2726  0.8321
P  0.2765  0.8750  0.9202
P  0.2869  0.9475  0.3876
P  0.3010  0.6503  0.6358
P  0.6990  0.3497  0.3642
P  0.7131  0.0525  0.6124
P  0.7235  0.1250  0.0798
P  0.7867  0.7274  0.1679
P  0.8915  0.5861  0.3460
O  0.0229  0.8002  0.1799
O  0.0468  0.8957  0.4386
O  0.0584  0.7217  0.5910
O  0.0594  0.9480  0.8611
O  0.1105  0.3320  0.5751
O  0.1423  0.5375  0.3105
O  0.1778  0.3614  0.8996
O  0.2371  0.9235  0.0175
O  0.2626  0.9522  0.2840
O  0.2733  0.7420  0.9259
O  0.2848  0.3361  0.7284
O  0.2932  0.5150  0.6074
O  0.3044  0.0766  0.4137
O  0.3145  0.6559  0.7352
O  0.4476  0.1779  0.8448
O  0.4664  0.0742  0.1220
O  0.4662  0.3046  0.4266
O  0.4707  0.1318  0.5814
O  0.5293  0.8682  0.4186
O  0.5338  0.6954  0.5734
O  0.5336  0.9258  0.8780
O  0.5524  0.8221  0.1552
O  0.6855  0.3441  0.2648
O  0.6956  0.9234  0.5863
O  0.7068  0.4850  0.3926
O  0.7152  0.6639  0.2716
O  0.7267  0.2580  0.0741
O  0.7374  0.0478  0.7160
O  0.7629  0.0765  0.9825
O  0.8222  0.6386  0.1004
O  0.8577  0.4625  0.6895
O  0.8895  0.6680  0.4249
O  0.9406  0.0520  0.1389
O  0.9416  0.2783  0.4090
O  0.9532  0.1043  0.5614
O  0.9771  0.1998  0.8201

Peak list (8 most intense, 10° ≤ 2θ ≤ 90°, by angle)
- (0 2 1), 2θ 16.5, I 93.2
- (0 0 3), 2θ 18.3, I 100.0
- (1 -1 1), 2θ 20.4, I 47.0
- (0 2 -2), 2θ 21.3, I 38.5
- (1 2 -1), 2θ 24.1, I 82.8
- (1 -2 1), 2θ 25.4, I 40.4
- (0 2 4), 2θ 27.8, I 41.0
- (2 0 0), 2θ 34.5, I 37.9